The following is a computed powder X-ray diffraction pattern of AuI2. It was derived from a DFT-relaxed cell (PBE, the Materials Project), using λ = 1.5418 Å (Cu Kα).

Cell and atoms:
```
AuI2
1.0
4.1881 0.0000 0.0000
0.0000 4.1881 0.0000
0.0000 0.0000 15.6414
Au I
2 4
Cartesian
0.0000 0.0000 3.9103 Au
0.0000 0.0000 11.7310 Au
0.0000 2.0940 2.1480 I
0.0000 2.0940 13.4934 I
2.0940 0.0000 5.6727 I
2.0940 0.0000 9.9687 I
```

Top 10 peaks for 2θ = 10–90°, in order of rising 2θ:
d_spacing	2theta	I_rel	h k l
7.821	11.3	100	0 0 2
4.188	21.2	35	1 0 0
4.046	22.0	45	1 0 1
3.692	24.1	51	1 0 2
3.265	27.3	45	1 0 3
2.858	31.3	27	1 0 4
2.361	38.1	77	1 1 4
2.094	43.2	29	2 0 0
1.956	46.4	32	0 0 8
1.254	75.9	29	3 1 4

The following is a computed powder X-ray diffraction pattern of Tb2ZrS5. It was derived from a DFT-relaxed cell (PBE, the Materials Project), using λ = 1.5418 Å (Cu Kα).

Cell and atoms:
```
Tb2ZrS5
1.0
11.6352 0.0000 0.0000
0.0000 7.7934 0.0000
0.0000 0.0000 7.2841
Tb Zr S
8 4 20
Cartesian
2.0755 0.0155 0.1768 Tb
2.0755 3.8812 0.1768 Tb
3.7421 3.9122 3.8188 Tb
3.7421 7.7780 3.8188 Tb
7.8930 0.0155 3.4653 Tb
7.8930 3.8812 3.4653 Tb
9.5597 3.9122 7.1073 Tb
9.5597 7.7780 7.1073 Tb
0.0777 5.8451 4.2071 Zr
5.7399 1.9484 0.5650 Zr
5.8953 5.8451 6.7190 Zr
11.5575 1.9484 3.0770 Zr
0.0288 5.8451 6.9082 S
1.0985 0.2880 4.8183 S
1.0985 3.6087 4.8183 S
2.1225 5.8451 2.4178 S
2.4209 1.9484 2.2618 S
3.3967 5.8451 5.9039 S
3.6951 1.9484 6.0598 S
4.7191 4.1847 1.1763 S
4.7191 7.5054 1.1763 S
5.7888 1.9484 3.2662 S
5.8464 5.8451 4.0178 S
6.9161 0.2880 6.1078 S
6.9161 3.6087 6.1078 S
7.9401 5.8451 1.2242 S
8.2385 1.9484 1.3802 S
9.2143 5.8451 5.0222 S
9.5127 1.9484 4.8663 S
10.5367 4.1847 2.4658 S
10.5367 7.5054 2.4658 S
11.6064 1.9484 0.3758 S
```

Top 10 peaks for 2θ = 10–90°, in order of rising 2θ:
d_spacing	2theta	I_rel	h k l
3.642	24.4	54	0 0 2
3.423	26.0	100	3 0 1
3.295	27.1	51	1 2 1
3.238	27.6	52	2 2 0
2.660	33.7	30	0 2 2
2.572	34.9	67	3 2 1
2.420	37.2	72	2 2 2
1.948	46.6	29	0 4 0
1.927	47.2	47	5 2 1
1.693	54.2	28	3 4 1

The following is a computed powder X-ray diffraction pattern of Ag3Hg. It was derived from a DFT-relaxed cell (PBE, the Materials Project), using λ = 1.5418 Å (Cu Kα).

Cell and atoms:
```
Ag3Hg
1.0
4.2453 0.0000 0.0000
0.0000 4.2453 0.0000
0.0000 0.0000 4.2453
Ag Hg
3 1
Cartesian
0.0000 0.0000 2.1226 Ag
0.0000 2.1226 0.0000 Ag
2.1226 0.0000 0.0000 Ag
2.1226 2.1226 2.1226 Hg
```

Top 10 peaks for 2θ = 10–90°, in order of rising 2θ:
d_spacing	2theta	I_rel	h k l
4.245	20.9	8	1 0 0
3.002	29.8	7	1 1 0
2.451	36.7	100	1 1 1
2.123	42.6	49	2 0 0
1.899	47.9	4	2 1 0
1.733	52.8	3	2 1 1
1.501	61.8	31	2 2 0
1.415	66.0	2	3 0 0
1.280	74.1	37	3 1 1
1.226	78.0	11	2 2 2